No. 1
# Li3TiNi3O8
Calculated PXRD pattern, Cu Kα X-rays. Input: a cell relaxed with PBE+U.
Peak positions follow from Bragg's law for the DFT cell and can differ from measured ones.

Structural model:
```
data_Li3TiNi3O8
_space_group_name_H-M_alt 'P -1'
_space_group_IT_number 2
_cell_length_a 5.8490
_cell_length_b 5.8786
_cell_length_c 10.0180
_cell_angle_alpha 88.70
_cell_angle_beta 73.54
_cell_angle_gamma 60.78
loop_
_space_group_symop_operation_xyz
'x,y,z'
'-x,-y,-z'
loop_
_atom_site_label
_atom_site_fract_x
_atom_site_fract_y
_atom_site_fract_z
Li1 0.0000 0.0000 0.0000
Li2 0.0000 0.0000 0.5000
Li3 0.0000 0.5000 0.0000
Li4 0.0000 0.5000 0.5000
Li5 0.0074 0.2483 0.2473
Ti1 0.4871 0.2664 0.7544
Ni1 0.4994 0.7527 0.7496
Ni2 0.5000 0.0000 0.0000
Ni3 0.5000 0.0000 0.5000
Ni4 0.5000 0.5000 0.0000
Ni5 0.5000 0.5000 0.5000
O1 0.2651 0.6082 0.8650
O2 0.2731 0.3847 0.6192
O3 0.2764 0.1202 0.8799
O4 0.2796 0.6179 0.3789
O5 0.2801 0.8783 0.1215
O6 0.2854 0.0962 0.3745
O7 0.2916 0.3285 0.1141
O8 0.2984 0.8366 0.6070
```

The 8 most intense peaks (2θ = 10–90°), low angle first:
- hkl 1 0 0, 18.29°, 4.850 Å, I 100
- hkl 1 2 2, 35.44°, 2.533 Å, I 13
- hkl 1 2 -2, 36.41°, 2.467 Å, I 13
- hkl 1 0 4, 36.51°, 2.461 Å, I 12
- hkl 0 2 2, 42.59°, 2.123 Å, I 23
- hkl 2 2 -2, 44.11°, 2.053 Å, I 21
- hkl 2 0 4, 44.24°, 2.047 Å, I 21
- hkl 2 0 -4, 62.67°, 1.482 Å, I 12



No. 2
# MnAgO3
Calculated PXRD pattern, Cu Kα X-rays. Input: a cell relaxed with PBE+U.
Peak positions follow from Bragg's law for the DFT cell and can differ from measured ones.

Structural model:
```
data_MnAgO3
_space_group_name_H-M_alt 'R -3'
_space_group_IT_number 148
_space_group_name_Hall '-R 3'
_cell_length_a 5.1478
_cell_length_b 5.1478
_cell_length_c 15.3791
_cell_angle_alpha 90.00
_cell_angle_beta 90.00
_cell_angle_gamma 120.00
loop_
_atom_site_label
_atom_site_fract_x
_atom_site_fract_y
_atom_site_fract_z
Mn1 0.0000 0.0000 0.1619
Ag1 0.0000 0.0000 0.3618
O1 0.0097 0.3842 0.4303
```

The 8 most intense peaks (2θ = 10–90°), low angle first:
- hkl 0 1 2, 23.06°, 3.857 Å, I 29
- hkl 1 0 4, 30.71°, 2.912 Å, I 100
- hkl 1 1 0, 34.86°, 2.574 Å, I 80
- hkl 2 -1 3, 39.16°, 2.300 Å, I 19
- hkl 0 2 4, 47.13°, 1.928 Å, I 32
- hkl 1 1 6, 50.23°, 1.816 Å, I 41
- hkl 2 1 4, 59.94°, 1.543 Å, I 29
- hkl 3 0 0, 62.50°, 1.486 Å, I 25